The following is a theoretical X-ray diffraction stick pattern of SmDyPu. It was derived from a structure optimized by DFT (PBE), using Cu Ka.
Neutral-atom scattering factors, no anomalous dispersion.

Largest 10 diffraction maxima, most intense first, 10 to 90 degrees two-theta:
two_theta	I (rel.)
32.3	1000
31.8	780
32.5	458
63.1	287
33.6	241
35.8	201
46.1	150
57.9	143
63.2	139
27.8	133

Cell: 16.5162 3.4797 9.6194 Å, 90.00 90.00 90.00°
Atoms (fractional coordinates):
Sm 0.0982 0.0000 0.0751
Sm 0.2500 0.0000 0.6206
Sm 0.4018 0.0000 0.0751
Sm 0.5982 0.0000 0.9249
Sm 0.7500 0.0000 0.3794
Sm 0.9018 0.0000 0.9249
Dy 0.0711 0.5000 0.7435
Dy 0.2500 0.5000 0.2846
Dy 0.4289 0.5000 0.7435
Dy 0.5711 0.5000 0.2565
Dy 0.7500 0.5000 0.7154
Dy 0.9289 0.5000 0.2565
Pu 0.0827 0.0000 0.4232
Pu 0.2500 0.5000 0.9255
Pu 0.4173 0.0000 0.4232
Pu 0.5827 0.0000 0.5768
Pu 0.7500 0.5000 0.0745
Pu 0.9173 0.0000 0.5768


The following is a theoretical X-ray diffraction stick pattern of Li4PmGa4. It was derived from a structure optimized by DFT (PBE), using Cu Ka.
Neutral-atom scattering factors, no anomalous dispersion.

Largest 10 diffraction maxima, most intense first, 10 to 90 degrees two-theta:
two_theta	I (rel.)
31.8	1000
35.3	811
17.8	703
28.7	680
32.6	667
47.7	646
60.9	359
42.3	349
55.3	249
30.2	197

Cell: 5.9100 5.9100 9.2961 Å, 90.00 90.00 90.00°
Atoms (fractional coordinates):
Li 0.0234 0.2500 0.1692
Li 0.2500 0.0234 0.6692
Li 0.2500 0.4766 0.6692
Li 0.4766 0.2500 0.1692
Li 0.5234 0.7500 0.8308
Li 0.7500 0.5234 0.3308
Li 0.7500 0.9766 0.3308
Li 0.9766 0.7500 0.8308
Pm 0.2500 0.7500 0.2500
Pm 0.7500 0.2500 0.7500
Ga 0.0293 0.2500 0.4618
Ga 0.2500 0.0293 0.9618
Ga 0.2500 0.4707 0.9618
Ga 0.4707 0.2500 0.4618
Ga 0.5293 0.7500 0.5382
Ga 0.7500 0.5293 0.0382
Ga 0.7500 0.9707 0.0382
Ga 0.9707 0.7500 0.5382


The following is a theoretical X-ray diffraction stick pattern of CeNpN3. It was derived from a structure optimized by DFT (PBE), using Cu Ka.
Neutral-atom scattering factors, no anomalous dispersion.

Largest 10 diffraction maxima, most intense first, 10 to 90 degrees two-theta:
two_theta	I (rel.)
30.2	1000
30.6	230
30.3	224
53.6	223
43.6	215
54.1	185
42.9	110
53.8	108
62.9	97
21.4	96

Cell: 5.9279 5.9279 10.2810 Å, 107.33 107.33 59.08°
Atoms (fractional coordinates):
Ce 0.0902 0.6420 0.8668
Ce 0.3580 0.9098 0.6332
Ce 0.6420 0.0902 0.3668
Ce 0.9098 0.3580 0.1332
Np 0.0000 0.5000 0.5000
Np 0.2601 0.7399 0.2500
Np 0.5000 0.0000 0.0000
Np 0.7399 0.2601 0.7500
N 0.1449 0.1807 0.8469
N 0.1706 0.7000 0.4359
N 0.1807 0.1449 0.3469
N 0.3000 0.8294 0.0641
N 0.3265 0.3609 0.6658
N 0.3609 0.3265 0.1658
N 0.6391 0.6735 0.8342
N 0.6735 0.6391 0.3342
N 0.7000 0.1706 0.9359
N 0.8193 0.8551 0.6531
N 0.8294 0.3000 0.5641
N 0.8551 0.8193 0.1531